No. 1
Calculated powder diffraction line list
Compound: Sr3Ag2RhO6
Radiation: Cu Kα
Structure: a DFT-relaxed cell (PBE, Alexandria)
Neutral-atom scattering factors, no anomalous dispersion.

Peak list (10 most intense, 10° ≤ 2θ ≤ 80°, by angle)
| d/Å | 2θ (°) | I/Imax | h k l |
| --- | --- | --- | --- |
| 2.921 | 30.61 | 100 | 1 1 0 |
| 2.715 | 32.99 | 52 | 0 1 2 |
| 2.163 | 41.76 | 36 | 1 1 2 |
| 1.989 | 45.62 | 34 | 2 0 2 |
| 1.686 | 54.41 | 19 | 3 0 0 |
| 1.644 | 55.94 | 23 | 1 2 2 |
| 1.533 | 60.37 | 16 | 0 1 4 |
| 1.494 | 62.14 | 11 | 3 0 2 |
| 1.460 | 63.72 | 17 | 2 2 0 |
| 1.231 | 77.54 | 15 | 1 2 4 |

Structure:
Cell: 5.842 5.842 6.436 Å, 90.00 90.00 120.00°
Positions (direct):
Sr 0.000 0.000 0.000
Sr 0.333 0.667 0.599
Sr 0.667 0.333 0.401
Ag 0.333 0.667 0.089
Ag 0.667 0.333 0.911
Rh 0.000 0.000 0.500
O 0.161 0.323 0.317
O 0.161 0.839 0.317
O 0.323 0.161 0.683
O 0.677 0.839 0.317
O 0.839 0.161 0.683
O 0.839 0.677 0.683

***

No. 2
Calculated powder diffraction line list
Compound: Sm12Al5Fe14
Radiation: Cu Kα
Structure: a DFT-relaxed cell (PBE, Alexandria)
Neutral-atom scattering factors, no anomalous dispersion.

Peak list (10 most intense, 10° ≤ 2θ ≤ 80°, by angle)
| d/Å | 2θ (°) | I/Imax | h k l |
| --- | --- | --- | --- |
| 3.870 | 22.98 | 39 | 0 1 2 |
| 3.688 | 24.13 | 56 | 2 0 1 |
| 2.985 | 29.94 | 56 | 2 0 2 |
| 2.899 | 30.85 | 51 | 1 2 1 |
| 2.707 | 33.09 | 25 | 3 0 0 |
| 2.588 | 34.66 | 59 | 3 0 1 |
| 2.379 | 37.82 | 100 | 0 2 3 |
| 2.345 | 38.39 | 67 | 2 2 0 |
| 2.122 | 42.60 | 34 | 2 1 3 |
| 1.716 | 53.39 | 34 | 2 3 2 |

Structure:
Cell: 9.378 9.378 8.805 Å, 90.00 90.00 120.00°
Positions (direct):
Sm 0.078 0.539 0.168
Sm 0.175 0.349 0.625
Sm 0.175 0.825 0.625
Sm 0.349 0.175 0.375
Sm 0.461 0.539 0.168
Sm 0.461 0.922 0.168
Sm 0.539 0.078 0.832
Sm 0.539 0.461 0.832
Sm 0.651 0.825 0.625
Sm 0.825 0.175 0.375
Sm 0.825 0.651 0.375
Sm 0.922 0.461 0.832
Al 0.000 0.500 0.500
Al 0.333 0.667 0.891
Al 0.500 0.000 0.500
Al 0.500 0.500 0.500
Al 0.667 0.333 0.109
Fe 0.000 0.000 0.000
Fe 0.000 0.000 0.500
Fe 0.093 0.185 0.217
Fe 0.093 0.907 0.217
Fe 0.157 0.313 0.969
Fe 0.157 0.843 0.969
Fe 0.185 0.093 0.783
Fe 0.313 0.157 0.031
Fe 0.687 0.843 0.969
Fe 0.815 0.907 0.217
Fe 0.843 0.157 0.031
Fe 0.843 0.687 0.031
Fe 0.907 0.093 0.783
Fe 0.907 0.815 0.783